(1)
The following is a theoretical powder X-ray diffraction pattern of NaSr4Zn. It was derived from DFT lattice parameters and positions (GGA-PBE), using Cu Kα, 1.54184 Å.
Lines closer than 0.1° are merged.

Peak list (10 most intense, 5° ≤ 2θ ≤ 70°, by angle)
d (Å)	I (rel.)
15.461	52
3.942	15
3.198	100
2.883	52
2.805	14
2.178	14
2.109	10
2.039	19
1.719	35
1.476	8

Structural model:
Unit cell a=4.0772 b=4.0772 c=15.4614 alpha=90.00 beta=90.00 gamma=90.00
Sites, in units of the cell vectors:
Na (0.0000, 0.0000, 0.0000)
Sr (0.0000, 0.0000, 0.3801)
Sr (0.0000, 0.0000, 0.6199)
Sr (0.5000, 0.5000, 0.1754)
Sr (0.5000, 0.5000, 0.8246)
Zn (0.5000, 0.5000, 0.5000)

(2)
The following is a theoretical powder X-ray diffraction pattern of CaPm3Os. It was derived from DFT lattice parameters and positions (GGA-PBE), using Cu Kα, 1.54184 Å.
Lines closer than 0.1° are merged.

Peak list (10 most intense, 5° ≤ 2θ ≤ 70°, by angle)
d (Å)	I (rel.)
8.805	100
7.215	26
2.941	47
2.920	55
2.822	26
2.671	19
2.651	23
2.376	23
2.347	19
1.954	17

Structural model:
Unit cell a=9.0723 b=3.9070 c=9.2510 alpha=90.00 beta=103.94 gamma=90.00
Sites, in units of the cell vectors:
Ca (0.0161, 0.2500, 0.1806)
Ca (0.9839, 0.7500, 0.8194)
Pm (0.1986, 0.2500, 0.5830)
Pm (0.3377, 0.2500, 0.9750)
Pm (0.4006, 0.7500, 0.3334)
Pm (0.5994, 0.2500, 0.6666)
Pm (0.6623, 0.7500, 0.0250)
Pm (0.8014, 0.7500, 0.4170)
Os (0.4018, 0.7500, 0.7567)
Os (0.5982, 0.2500, 0.2433)

(3)
The following is a theoretical powder X-ray diffraction pattern of NaNb3Te4O16. It was derived from DFT lattice parameters and positions (GGA-PBE), using Cu Kα, 1.54184 Å.
Lines closer than 0.1° are merged.

Peak list (10 most intense, 5° ≤ 2θ ≤ 70°, by angle)
d (Å)	I (rel.)
4.723	53
3.542	100
3.349	39
3.287	44
3.275	70
3.261	81
2.684	34
2.577	60
1.922	51
1.666	41

Structural model:
Unit cell a=6.7020 b=7.5536 c=14.4446 alpha=90.00 beta=101.22 gamma=90.00
Sites, in units of the cell vectors:
Na (0.0000, 0.0000, 0.0000)
Na (0.0000, 0.5000, 0.0000)
Nb (0.4190, 0.0001, 0.2269)
Nb (0.4190, 0.4999, 0.2269)
Nb (0.5000, 0.0000, 0.5000)
Nb (0.5000, 0.5000, 0.5000)
Nb (0.5810, 0.9999, 0.7731)
Nb (0.5810, 0.5001, 0.7731)
Te (0.0093, 0.2500, 0.4987)
Te (0.0790, 0.2500, 0.7886)
Te (0.0990, 0.7500, 0.7812)
Te (0.4488, 0.7500, 0.0032)
Te (0.5512, 0.2500, 0.9968)
Te (0.9010, 0.2500, 0.2188)
Te (0.9210, 0.7500, 0.2114)
Te (0.9907, 0.7500, 0.5013)
O (0.0955, 0.7500, 0.6291)
O (0.1176, 0.5610, 0.2064)
O (0.1176, 0.9390, 0.2064)
O (0.1584, 0.7500, 0.9253)
O (0.1866, 0.2500, 0.9178)
O (0.2047, 0.0596, 0.4997)
O (0.2047, 0.4404, 0.4997)
O (0.2849, 0.5546, 0.7818)
O (0.2849, 0.9454, 0.7818)
O (0.3526, 0.2500, 0.1905)
O (0.3759, 0.5567, 0.0749)
O (0.3759, 0.9433, 0.0749)
O (0.4197, 0.7500, 0.4839)
O (0.4475, 0.0305, 0.3582)
O (0.4475, 0.4695, 0.3582)
O (0.4937, 0.2500, 0.7621)
O (0.5063, 0.7500, 0.2379)
O (0.5525, 0.5305, 0.6418)
O (0.5525, 0.9695, 0.6418)
O (0.5803, 0.2500, 0.5161)
O (0.6241, 0.0567, 0.9251)
O (0.6241, 0.4433, 0.9251)
O (0.6474, 0.7500, 0.8095)
O (0.7151, 0.0546, 0.2182)
O (0.7151, 0.4454, 0.2182)
O (0.7953, 0.5596, 0.5003)
O (0.7953, 0.9404, 0.5003)
O (0.8134, 0.7500, 0.0822)
O (0.8416, 0.2500, 0.0747)
O (0.8824, 0.0610, 0.7936)
O (0.8824, 0.4390, 0.7936)
O (0.9045, 0.2500, 0.3709)

(4)
The following is a theoretical powder X-ray diffraction pattern of Na12AgAu6. It was derived from DFT lattice parameters and positions (GGA-PBE), using Cu Kα, 1.54184 Å.
Lines closer than 0.1° are merged.

Peak list (10 most intense, 5° ≤ 2θ ≤ 70°, by angle)
d (Å)	I (rel.)
7.100	33
5.020	70
3.175	46
2.683	100
2.367	23
1.969	56
1.673	22
1.549	15
1.480	11
1.420	11

Structural model:
Unit cell a=8.6952 b=8.6952 c=8.6952 alpha=109.47 beta=109.47 gamma=109.47
Sites, in units of the cell vectors:
Na (0.1101, 0.2856, 0.8245)
Na (0.1755, 0.4611, 0.2856)
Na (0.1755, 0.8899, 0.7144)
Na (0.2856, 0.1755, 0.4611)
Na (0.2856, 0.8245, 0.1101)
Na (0.4611, 0.2856, 0.1755)
Na (0.5389, 0.7144, 0.8245)
Na (0.7144, 0.1755, 0.8899)
Na (0.7144, 0.8245, 0.5389)
Na (0.8245, 0.1101, 0.2856)
Na (0.8245, 0.5389, 0.7144)
Na (0.8899, 0.7144, 0.1755)
Ag (0.0000, 0.0000, 0.0000)
Au (0.1379, 0.5000, 0.6379)
Au (0.3621, 0.8621, 0.5000)
Au (0.5000, 0.3621, 0.8621)
Au (0.5000, 0.6379, 0.1379)
Au (0.6379, 0.1379, 0.5000)
Au (0.8621, 0.5000, 0.3621)

(5)
The following is a theoretical powder X-ray diffraction pattern of LaDy2Cd3. It was derived from DFT lattice parameters and positions (GGA-PBE), using Cu Kα, 1.54184 Å.
Lines closer than 0.1° are merged.

Peak list (10 most intense, 5° ≤ 2θ ≤ 70°, by angle)
d (Å)	I (rel.)
11.598	4
3.778	2
2.702	100
2.672	51
2.300	3
1.933	8
1.889	18
1.566	16
1.548	36
1.351	10

Structural model:
Unit cell a=3.7781 b=3.7781 c=11.5977 alpha=90.00 beta=90.00 gamma=90.00
Sites, in units of the cell vectors:
La (0.0000, 0.0000, 0.0000)
Dy (0.0000, 0.0000, 0.3400)
Dy (0.0000, 0.0000, 0.6600)
Cd (0.5000, 0.5000, 0.1857)
Cd (0.5000, 0.5000, 0.5000)
Cd (0.5000, 0.5000, 0.8143)

(6)
The following is a theoretical powder X-ray diffraction pattern of PdPt3Rh3. It was derived from DFT lattice parameters and positions (GGA-PBE), using Cu Kα, 1.54184 Å.
Lines closer than 0.1° are merged.

Peak list (10 most intense, 5° ≤ 2θ ≤ 70°, by angle)
d (Å)	I (rel.)
5.746	10
3.090	3
2.843	7
2.487	2
2.363	2
2.261	100
2.252	33
1.956	65
1.385	21
1.381	21

Structural model:
Unit cell a=6.1806 b=6.1806 c=6.1806 alpha=72.75 beta=72.75 gamma=72.75
Sites, in units of the cell vectors:
Pd (0.2473, 0.2473, 0.2473)
Pd (0.7527, 0.7527, 0.7527)
Pt (0.1767, 0.4613, 0.6130)
Pt (0.3870, 0.8233, 0.5387)
Pt (0.4613, 0.6130, 0.1767)
Pt (0.5387, 0.3870, 0.8233)
Pt (0.6130, 0.1767, 0.4613)
Pt (0.8233, 0.5387, 0.3870)
Rh (0.0329, 0.8944, 0.3173)
Rh (0.1056, 0.6827, 0.9671)
Rh (0.3173, 0.0329, 0.8944)
Rh (0.6827, 0.9671, 0.1056)
Rh (0.8944, 0.3173, 0.0329)
Rh (0.9671, 0.1056, 0.6827)